This entry pairs a crystal structure of PmCoTc2O8 with its theoretical powder X-ray diffraction pattern. Radiation: λ = 1.5418 Å (Cu Kα). Structure: DFT lattice parameters and positions (PBE+U).
Peak positions follow from Bragg's law for the DFT cell and can differ from measured ones.

Most intense lines, 2θ from 10° to 80°, sorted by position:
- 2θ 29.22, rel. 100
- 2θ 31.97, rel. 13
- 2θ 34.78, rel. 18
- 2θ 47.95, rel. 31
- 2θ 50.00, rel. 15
- 2θ 55.29, rel. 16
- 2θ 58.97, rel. 27
- 2θ 60.59, rel. 11
- 2θ 77.60, rel. 7
- 2θ 77.75, rel. 12

Cell and atoms:
a b c (Å): 6.683 6.683 6.683
angles (deg): 134.59 134.59 66.18
Atoms (fractional coordinates):
Pm1 0.000 0.000 0.000
Co1 0.250 0.750 0.500
Tc1 0.500 0.500 0.000
Tc2 0.750 0.250 0.500
O1 0.008 0.079 0.425
O2 0.249 0.664 0.090
O3 0.336 0.426 0.584
O4 0.418 0.992 0.071
O5 0.574 0.159 0.910
O6 0.654 0.582 0.575
O7 0.841 0.751 0.416
O8 0.921 0.346 0.929